No. 1
Structure and theoretical powder diffraction line list of CaSn2O5 (the GGA-PBE geometry in the Materials Project; Cu Kα).

The 6 most intense peaks (2θ = 10–80°), in order of falling intensity:
2θ/deg, I_rel
23.7, 100
29.6, 79
16.3, 70
34.4, 49
33.3, 37
55.1, 29

Crystal structure
```
data_CaSn2O5
_space_group_name_H-M_alt 'C m c m'
_space_group_IT_number 63
_space_group_name_Hall '-C 2c 2'
_cell_length_a 4.001
_cell_length_b 10.918
_cell_length_c 10.864
_cell_angle_alpha 90.00
_cell_angle_beta 90.00
_cell_angle_gamma 90.00
loop_
_atom_site_label
_atom_site_type_symbol
_atom_site_fract_x
_atom_site_fract_y
_atom_site_fract_z
Ca1 Ca 0.000 0.193 0.250
Sn1 Sn 0.000 0.132 0.563
O1 O 0.000 0.047 0.109
O2 O 0.000 0.198 0.750
O3 O 0.000 0.306 0.053
```

---

No. 2
Structure and theoretical powder diffraction line list of CaCl2 (the GGA-PBE geometry in the Materials Project; Cu Kα).

The 6 most intense peaks (2θ = 10–80°), in order of falling intensity:
2θ/deg, I_rel
30.0, 100
22.2, 62
39.0, 62
29.2, 50
45.5, 43
38.4, 41

Crystal structure
```
data_CaCl2
_space_group_name_H-M_alt 'P b c n'
_space_group_IT_number 60
_space_group_name_Hall '-P 2n 2ab'
_cell_length_a 6.340
_cell_length_b 7.714
_cell_length_c 6.978
_cell_angle_alpha 90.00
_cell_angle_beta 90.00
_cell_angle_gamma 90.00
loop_
_atom_site_label
_atom_site_type_symbol
_atom_site_fract_x
_atom_site_fract_y
_atom_site_fract_z
Ca1 Ca 0.000 0.153 0.250
Cl1 Cl 0.237 0.109 0.578
```

---

Please write out number 1 again, unchanged.
Structure and theoretical powder diffraction line list of CaSn2O5 (the GGA-PBE geometry in the Materials Project; Cu Kα).

The 6 most intense peaks (2θ = 10–80°), in order of falling intensity:
2θ/deg, I_rel
23.7, 100
29.6, 79
16.3, 70
34.4, 49
33.3, 37
55.1, 29

Crystal structure
```
data_CaSn2O5
_space_group_name_H-M_alt 'C m c m'
_space_group_IT_number 63
_space_group_name_Hall '-C 2c 2'
_cell_length_a 4.001
_cell_length_b 10.918
_cell_length_c 10.864
_cell_angle_alpha 90.00
_cell_angle_beta 90.00
_cell_angle_gamma 90.00
loop_
_atom_site_label
_atom_site_type_symbol
_atom_site_fract_x
_atom_site_fract_y
_atom_site_fract_z
Ca1 Ca 0.000 0.193 0.250
Sn1 Sn 0.000 0.132 0.563
O1 O 0.000 0.047 0.109
O2 O 0.000 0.198 0.750
O3 O 0.000 0.306 0.053
```